Record 1
The following is a computed powder diffraction line list of Tb4HoIn2. It was derived from a GGA-PBE-relaxed structure, using copper Kα.
Peak positions follow from Bragg's law for the DFT cell and can differ from measured ones.

Largest 8 diffraction maxima, most intense first, 10 to 90 degrees two-theta:
2θ = 29.91°, rel. 100.0, hkl 1 3 -1; 2θ = 30.92°, rel. 95.7, hkl 2 0 0; 2θ = 35.04°, rel. 81.7, hkl 1 3 1; 2θ = 31.22°, rel. 47.0, hkl 1 2 -2; 2θ = 27.90°, rel. 45.9, hkl 0 0 2; 2θ = 32.59°, rel. 35.0, hkl 0 2 2; 2θ = 36.88°, rel. 29.5, hkl 1 4 0; 2θ = 37.18°, rel. 29.0, hkl 2 2 -2

Structural model:
a b c (Å): 6.237 10.747 6.897
angles (deg): 90.00 112.00 90.00
Space group P2_1/c (No. 14)
One atom of each set of equivalent atoms:
Tb  0.007  0.165  0.499
Tb  0.492  0.718  0.498
Ho  0.000  0.000  0.000
In  0.470  0.501  0.195

***

Record 2
The following is a computed powder diffraction line list of Tb8Ho2In3. It was derived from a GGA-PBE-relaxed structure, using copper Kα.
Peak positions follow from Bragg's law for the DFT cell and can differ from measured ones.

Largest 8 diffraction maxima, most intense first, 10 to 90 degrees two-theta:
2θ = 32.66°, rel. 100.0, hkl 2 0 2; 2θ = 32.54°, rel. 94.3, hkl 0 1 11; 2θ = 34.78°, rel. 55.0, hkl 2 0 5; 2θ = 52.28°, rel. 49.0, hkl 1 2 11; 2θ = 57.49°, rel. 46.7, hkl 2 2 0; 2θ = 27.83°, rel. 43.1, hkl 1 1 0; 2θ = 49.17°, rel. 41.3, hkl 2 0 14; 2θ = 28.89°, rel. 41.1, hkl 1 1 3

Structural model:
a b c (Å): 6.4122 6.4122 34.8525
angles (deg): 90.00 90.00 120.00
Space group R-3m (No. 166, hexagonal axes)
One atom of each set of equivalent atoms:
Tb  0.0000  0.0000  0.2244
Tb  0.0005  0.5003  0.7196
Ho  0.0000  0.0000  0.1356
In  0.0000  0.0000  0.3107
In  0.0000  0.0000  0.5000